Entry 1:
Diffraction record for VOF2. The X-ray powder pattern is computed, not measured: it uses DFT lattice parameters and positions (PBE+U) and Cu Kα, 1.54184 Å.
Neutral-atom scattering factors, no anomalous dispersion.

Cell and atoms:
```
data_VOF2
_space_group_name_H-M_alt 'C 1 c 1'
_space_group_IT_number 9
_cell_length_a 9.065
_cell_length_b 5.203
_cell_length_c 13.386
_cell_angle_alpha 90.00
_cell_angle_beta 91.11
_cell_angle_gamma 90.00
loop_
_space_group_symop_operation_xyz
'x,y,z'
'x,-y,z+1/2'
'x+1/2,y+1/2,z'
'x+1/2,-y+1/2,z+1/2'
loop_
_atom_site_label
_atom_site_fract_x
_atom_site_fract_y
_atom_site_fract_z
V1 0.000 0.005 0.000
V2 0.173 0.469 0.666
V3 0.332 0.036 0.334
O1 0.134 0.217 0.591
O2 0.224 0.215 0.259
O3 0.391 0.305 0.426
F1 0.017 0.402 0.762
F2 0.044 0.285 0.097
F3 0.182 0.087 0.927
F4 0.311 0.290 0.758
F5 0.341 0.398 0.090
F6 0.472 0.193 0.922
```

Most intense lines, 5 to 70 degrees two-theta, sorted by position:
d_spacing  2theta  Rel. int.  h k l
3.787  23.5  49  2 0 -2
3.725  23.9  100  1 1 2
2.700  33.2  13  1 1 -4
2.271  39.7  9  3 1 -3
2.247  40.1  8  0 2 3
1.893  48.1  11  4 0 -4
1.862  48.9  19  2 2 4
1.711  53.6  12  3 1 -6
1.693  54.2  12  0 2 6
1.682  54.5  10  3 1 6

***

Entry 2:
Diffraction record for V2OF5. The X-ray powder pattern is computed, not measured: it uses DFT lattice parameters and positions (PBE+U) and Cu Kα, 1.54184 Å.
Neutral-atom scattering factors, no anomalous dispersion.

Cell and atoms:
```
data_V2OF5
_space_group_name_H-M_alt 'P 1'
_space_group_IT_number 1
_cell_length_a 5.261
_cell_length_b 5.439
_cell_length_c 17.392
_cell_angle_alpha 89.40
_cell_angle_beta 82.27
_cell_angle_gamma 61.31
loop_
_space_group_symop_operation_xyz
'x,y,z'
loop_
_atom_site_label
_atom_site_fract_x
_atom_site_fract_y
_atom_site_fract_z
V1 0.000 0.000 0.000
V2 0.003 0.524 0.503
V3 0.234 0.353 0.120
V4 0.247 0.879 0.622
V5 0.498 0.739 0.248
V6 0.504 0.264 0.754
V7 0.731 0.154 0.368
V8 0.745 0.620 0.872
O1 0.078 0.673 0.575
O2 0.091 0.169 0.082
O3 0.555 0.425 0.313
O4 0.580 0.412 0.826
F1 0.021 0.202 0.561
F2 0.021 0.687 0.062
F3 0.073 0.956 0.286
F4 0.075 0.468 0.784
F5 0.416 0.573 0.161
F6 0.419 0.094 0.665
F7 0.422 0.288 0.459
F8 0.423 0.777 0.960
F9 0.468 0.061 0.186
F10 0.476 0.556 0.682
F11 0.516 0.944 0.811
F12 0.569 0.919 0.335
F13 0.574 0.217 0.037
F14 0.575 0.721 0.534
F15 0.916 0.839 0.912
F16 0.920 0.030 0.709
F17 0.926 0.335 0.416
F18 0.927 0.537 0.210
F19 0.960 0.818 0.430
F20 0.976 0.308 0.933
```

Most intense lines, 5 to 70 degrees two-theta, sorted by position:
d_spacing  2theta  Rel. int.  h k l
3.806  23.4  99  1 0 -2
3.781  23.5  99  0 1 -3
3.744  23.8  100  1 1 3
2.713  33.0  26  1 2 0
2.281  39.5  27  1 2 -4
2.265  39.8  17  2 2 2
1.903  47.8  22  2 0 -4
1.890  48.1  21  0 2 -6
1.872  48.6  19  2 2 6
1.715  53.4  23  1 -2 4

***

Entry 3:
Diffraction record for VOF3. The X-ray powder pattern is computed, not measured: it uses DFT lattice parameters and positions (PBE+U) and Cu Kα, 1.54184 Å.
Neutral-atom scattering factors, no anomalous dispersion.

Cell and atoms:
```
data_VOF3
_space_group_name_H-M_alt 'P 1'
_space_group_IT_number 1
_cell_length_a 5.343
_cell_length_b 5.561
_cell_length_c 9.635
_cell_angle_alpha 88.78
_cell_angle_beta 87.74
_cell_angle_gamma 88.66
loop_
_space_group_symop_operation_xyz
'x,y,z'
loop_
_atom_site_label
_atom_site_fract_x
_atom_site_fract_y
_atom_site_fract_z
V1 0.000 0.000 0.000
V2 0.015 0.498 0.507
V3 0.458 0.746 0.753
V4 0.522 0.228 0.256
O1 0.175 0.157 0.093
O2 0.190 0.659 0.605
O3 0.263 0.913 0.851
O4 0.760 0.258 0.351
F1 0.035 0.700 0.063
F2 0.078 0.199 0.563
F3 0.276 0.415 0.357
F4 0.380 0.959 0.319
F5 0.394 0.449 0.810
F6 0.543 0.467 0.132
F7 0.565 0.947 0.621
F8 0.690 0.023 0.111
F9 0.713 0.503 0.600
F10 0.743 0.754 0.845
F11 0.868 0.206 0.878
F12 0.910 0.707 0.379
```

Most intense lines, 5 to 70 degrees two-theta, sorted by position:
d_spacing  2theta  Rel. int.  h k l
4.771  18.6  100  0 1 -1
3.665  24.3  58  1 1 1
3.646  24.4  55  1 0 2
3.524  25.3  49  -1 1 1
3.507  25.4  46  1 0 -2
2.804  31.9  18  0 1 3
2.178  41.5  20  1 2 -2
1.978  45.9  14  2 1 3
1.891  48.1  15  -2 1 3
1.714  53.5  14  1 -2 4

***

Entry 4:
Diffraction record for V3O4F2. The X-ray powder pattern is computed, not measured: it uses DFT lattice parameters and positions (PBE+U) and Cu Kα, 1.54184 Å.
Neutral-atom scattering factors, no anomalous dispersion.

Cell and atoms:
```
data_V3O4F2
_space_group_name_H-M_alt 'P 1'
_space_group_IT_number 1
_cell_length_a 4.677
_cell_length_b 5.588
_cell_length_c 7.765
_cell_angle_alpha 94.20
_cell_angle_beta 90.64
_cell_angle_gamma 90.32
loop_
_space_group_symop_operation_xyz
'x,y,z'
loop_
_atom_site_label
_atom_site_fract_x
_atom_site_fract_y
_atom_site_fract_z
V1 0.000 0.000 0.000
V2 0.010 0.671 0.692
V3 0.036 0.314 0.345
V4 0.498 0.792 0.379
V5 0.508 0.138 0.686
V6 0.537 0.477 0.037
O1 0.209 0.268 0.112
O2 0.211 0.958 0.792
O3 0.226 0.614 0.463
O4 0.328 0.106 0.452
O5 0.715 0.847 0.585
O6 0.717 0.520 0.267
O7 0.722 0.196 0.912
O8 0.827 0.706 0.937
F1 0.317 0.784 0.134
F2 0.325 0.462 0.793
F3 0.806 0.011 0.246
F4 0.832 0.347 0.590
```

Most intense lines, 5 to 70 degrees two-theta, sorted by position:
d_spacing  2theta  Rel. int.  h k l
3.311  26.9  100  1 1 -1
2.583  34.7  25  -1 1 2
2.563  35.0  12  0 2 1
2.555  35.1  12  1 1 2
1.743  52.5  14  2 0 -3
1.731  52.9  14  1 -3 0
1.723  53.2  14  1 3 0
1.656  55.5  17  2 2 -2
1.538  60.2  9  0 2 4
1.398  67.0  13  -3 1 2

***

Entry 5:
Diffraction record for VOF3. The X-ray powder pattern is computed, not measured: it uses DFT lattice parameters and positions (PBE+U) and Cu Kα, 1.54184 Å.
Neutral-atom scattering factors, no anomalous dispersion.

Cell and atoms:
```
data_VOF3
_space_group_name_H-M_alt 'P n a 21'
_space_group_IT_number 33
_cell_length_a 10.072
_cell_length_b 5.650
_cell_length_c 4.914
_cell_angle_alpha 90.00
_cell_angle_beta 90.00
_cell_angle_gamma 90.00
loop_
_space_group_symop_operation_xyz
'x,y,z'
'-x,-y,z+1/2'
'-x+1/2,y+1/2,z+1/2'
'x+1/2,-y+1/2,z'
loop_
_atom_site_label
_atom_site_fract_x
_atom_site_fract_y
_atom_site_fract_z
V1 0.240 0.115 0.000
O1 0.184 0.312 0.792
F1 0.097 0.558 0.378
F2 0.099 0.055 0.207
F3 0.189 0.825 0.777
```

Most intense lines, 5 to 70 degrees two-theta, sorted by position:
d_spacing  2theta  Rel. int.  h k l
5.036  17.6  100  2 0 0
3.708  24.0  40  0 1 1
3.480  25.6  91  1 1 1
2.986  29.9  25  2 1 1
2.720  32.9  15  1 2 0
2.241  40.2  20  4 0 1
2.201  41.0  23  2 2 1
1.823  50.0  24  1 2 2
1.759  52.0  17  4 0 2
1.623  56.7  16  3 2 2

***

Entry 6:
Diffraction record for V2OF8. The X-ray powder pattern is computed, not measured: it uses DFT lattice parameters and positions (PBE+U) and Cu Kα, 1.54184 Å.
Neutral-atom scattering factors, no anomalous dispersion.

Cell and atoms:
```
data_V2OF8
_space_group_name_H-M_alt 'P 1 2/c 1'
_space_group_IT_number 13
_cell_length_a 9.109
_cell_length_b 5.382
_cell_length_c 14.971
_cell_angle_alpha 90.00
_cell_angle_beta 104.49
_cell_angle_gamma 90.00
loop_
_space_group_symop_operation_xyz
'x,y,z'
'-x,-y,-z'
'-x,y,-z+1/2'
'x,-y,z+1/2'
loop_
_atom_site_label
_atom_site_fract_x
_atom_site_fract_y
_atom_site_fract_z
V1 0.045 0.060 0.161
V2 0.403 0.193 0.625
O1 0.202 0.059 0.643
F1 0.000 0.191 0.750
F2 0.032 0.350 0.107
F3 0.097 0.093 0.923
F4 0.136 0.192 0.280
F5 0.305 0.317 0.519
F6 0.361 0.444 0.691
F7 0.419 0.297 0.882
F8 0.422 0.111 0.085
F9 0.500 0.048 0.750
```

Most intense lines, 5 to 70 degrees two-theta, sorted by position:
d_spacing  2theta  Rel. int.  h k l
7.247  12.2  22  0 0 2
5.382  16.5  83  0 1 0
5.017  17.7  69  1 0 2
4.594  19.3  26  1 1 0
4.554  19.5  100  1 1 -1
4.410  20.1  54  2 0 0
4.272  20.8  33  2 0 -2
3.624  24.6  38  0 0 4
3.002  29.8  23  3 0 -2
2.175  41.5  27  1 2 -4

***

Entry 7:
Diffraction record for VOF3. The X-ray powder pattern is computed, not measured: it uses DFT lattice parameters and positions (PBE+U) and Cu Kα, 1.54184 Å.
Neutral-atom scattering factors, no anomalous dispersion.

Cell and atoms:
```
data_VOF3
_space_group_name_H-M_alt 'P 1 21/c 1'
_space_group_IT_number 14
_cell_length_a 5.871
_cell_length_b 5.382
_cell_length_c 9.697
_cell_angle_alpha 90.00
_cell_angle_beta 90.35
_cell_angle_gamma 90.00
loop_
_space_group_symop_operation_xyz
'x,y,z'
'-x,-y,-z'
'-x,y+1/2,-z+1/2'
'x,-y+1/2,z+1/2'
loop_
_atom_site_label
_atom_site_fract_x
_atom_site_fract_y
_atom_site_fract_z
V1 0.169 0.089 0.121
O1 0.297 0.179 0.557
F1 0.054 0.210 0.279
F2 0.143 0.631 0.460
F3 0.390 0.599 0.686
```

Most intense lines, 5 to 70 degrees two-theta, sorted by position:
d_spacing  2theta  Rel. int.  h k l
5.871  15.1  60  1 0 0
4.706  18.9  100  0 1 1
3.967  22.4  24  1 1 0
3.750  23.7  48  1 0 -2
3.727  23.9  42  1 0 2
3.677  24.2  82  1 1 -1
3.602  24.7  23  0 1 2
2.372  37.9  30  1 2 -1
2.271  39.7  33  2 1 2
2.210  40.8  19  0 1 4

***

Entry 8:
Diffraction record for V4O7F5. The X-ray powder pattern is computed, not measured: it uses DFT lattice parameters and positions (PBE+U) and Cu Kα, 1.54184 Å.
Neutral-atom scattering factors, no anomalous dispersion.

Cell and atoms:
```
data_V4O7F5
_space_group_name_H-M_alt 'P 1'
_space_group_IT_number 1
_cell_length_a 5.152
_cell_length_b 5.374
_cell_length_c 7.554
_cell_angle_alpha 88.02
_cell_angle_beta 89.91
_cell_angle_gamma 88.33
loop_
_space_group_symop_operation_xyz
'x,y,z'
loop_
_atom_site_label
_atom_site_fract_x
_atom_site_fract_y
_atom_site_fract_z
V1 0.000 0.000 0.000
V2 0.020 0.103 0.501
V3 0.480 0.501 0.994
V4 0.531 0.591 0.489
O1 0.212 0.345 0.958
O2 0.283 0.845 0.961
O3 0.287 0.260 0.537
O4 0.711 0.840 0.459
O5 0.712 0.278 0.035
O6 0.791 0.775 0.037
O7 0.794 0.334 0.463
F1 0.087 0.052 0.250
F2 0.198 0.765 0.539
F3 0.407 0.559 0.244
F4 0.580 0.557 0.750
F5 0.911 0.056 0.748
```

Most intense lines, 5 to 70 degrees two-theta, sorted by position:
d_spacing  2theta  Rel. int.  h k l
3.773  23.6  100  1 1 0
3.663  24.3  49  1 -1 0
2.660  33.7  6  -1 1 2
2.261  39.9  6  1 0 -3
1.887  48.2  20  0 0 4
1.832  49.8  9  2 -2 0
1.704  53.8  9  1 1 4
1.694  54.1  6  -1 1 4
1.675  54.8  7  1 -3 0
1.663  55.2  8  -2 2 2

***

Entry 9:
Diffraction record for VOF2. The X-ray powder pattern is computed, not measured: it uses DFT lattice parameters and positions (PBE+U) and Cu Kα, 1.54184 Å.
Neutral-atom scattering factors, no anomalous dispersion.

Cell and atoms:
```
data_VOF2
_space_group_name_H-M_alt 'P 1'
_space_group_IT_number 1
_cell_length_a 5.213
_cell_length_b 5.407
_cell_length_c 7.556
_cell_angle_alpha 87.82
_cell_angle_beta 89.98
_cell_angle_gamma 89.94
loop_
_space_group_symop_operation_xyz
'x,y,z'
loop_
_atom_site_label
_atom_site_fract_x
_atom_site_fract_y
_atom_site_fract_z
V1 0.000 0.000 0.000
V2 0.001 0.076 0.489
V3 0.491 0.509 0.989
V4 0.493 0.567 0.500
O1 0.244 0.323 0.952
O2 0.249 0.758 0.537
O3 0.812 0.321 0.454
O4 0.815 0.752 0.034
F1 0.127 0.039 0.244
F2 0.318 0.250 0.546
F3 0.321 0.830 0.942
F4 0.430 0.540 0.244
F5 0.626 0.537 0.745
F6 0.742 0.251 0.052
F7 0.749 0.820 0.439
F8 0.928 0.038 0.744
```

Most intense lines, 5 to 70 degrees two-theta, sorted by position:
d_spacing  2theta  Rel. int.  h k l
3.775  23.6  47  0 0 2
3.752  23.7  100  1 1 0
2.698  33.2  18  -1 1 2
2.627  34.1  7  1 -1 2
2.265  39.8  16  1 0 3
1.888  48.2  10  0 0 4
1.876  48.5  20  2 -2 0
1.703  53.8  20  -1 1 4
1.698  54.0  10  -2 2 2
1.669  55.0  6  1 -1 4

***

Entry 10:
Diffraction record for V6O5F19. The X-ray powder pattern is computed, not measured: it uses DFT lattice parameters and positions (PBE+U) and Cu Kα, 1.54184 Å.
Neutral-atom scattering factors, no anomalous dispersion.

Cell and atoms:
```
data_V6O5F19
_space_group_name_H-M_alt 'P 1'
_space_group_IT_number 1
_cell_length_a 5.317
_cell_length_b 5.530
_cell_length_c 14.909
_cell_angle_alpha 79.65
_cell_angle_beta 89.83
_cell_angle_gamma 89.09
loop_
_space_group_symop_operation_xyz
'x,y,z'
loop_
_atom_site_label
_atom_site_fract_x
_atom_site_fract_y
_atom_site_fract_z
V1 0.000 0.000 0.000
V2 0.001 0.679 0.667
V3 0.488 0.749 0.339
V4 0.517 0.476 0.002
V5 0.548 0.183 0.666
V6 0.980 0.259 0.332
O1 0.313 0.509 0.357
O2 0.729 0.427 0.644
O3 0.748 0.089 0.315
O4 0.815 0.926 0.646
O5 0.817 0.247 0.980
F1 0.103 0.645 0.557
F2 0.109 0.981 0.889
F3 0.120 0.334 0.222
F4 0.229 0.650 0.025
F5 0.235 0.992 0.362
F6 0.249 0.314 0.693
F7 0.292 0.810 0.695
F8 0.299 0.159 0.026
F9 0.446 0.143 0.557
F10 0.453 0.484 0.886
F11 0.453 0.861 0.221
F12 0.608 0.058 0.782
F13 0.613 0.405 0.118
F14 0.618 0.747 0.449
F15 0.727 0.770 0.978
F16 0.798 0.576 0.309
F17 0.934 0.553 0.782
F18 0.948 0.889 0.117
F19 0.959 0.263 0.450
```

Most intense lines, 5 to 70 degrees two-theta, sorted by position:
d_spacing  2theta  Rel. int.  h k l
4.889  18.1  100  0 0 3
3.593  24.8  91  1 1 -1
3.544  25.1  90  1 -1 1
2.765  32.4  13  0 2 1
2.444  36.8  13  0 0 6
2.221  40.6  12  1 0 6
1.932  47.0  13  2 2 1
1.901  47.8  14  -2 2 1
1.742  52.5  12  1 1 8
1.630  56.5  9  0 0 9